[1]
Nd3RuO7: calculated XRD peak list (Cu Kα (weighted mean of Kα1 and Kα2)), based on a cell relaxed with PBE.
Peak positions follow from Bragg's law for the DFT cell and can differ from measured ones.

Cell and atoms:
Cell: 7.5039 7.6030 10.9691 Å, 90.00 90.00 90.00°
Element x y z (fractional)
Nd 0.0000 0.0000 0.0000
Nd 0.0000 0.5000 0.0000
Nd 0.1913 0.2500 0.2756
Nd 0.1964 0.2500 0.7183
Nd 0.3036 0.7500 0.2183
Nd 0.3087 0.7500 0.7756
Nd 0.5000 0.0000 0.5000
Nd 0.5000 0.5000 0.5000
Nd 0.6913 0.2500 0.2244
Nd 0.6964 0.2500 0.7817
Nd 0.8036 0.7500 0.2817
Nd 0.8087 0.7500 0.7244
Ru 0.0000 0.0000 0.5000
Ru 0.0000 0.5000 0.5000
Ru 0.5000 0.0000 0.0000
Ru 0.5000 0.5000 0.0000
O 0.0193 0.7500 0.1322
O 0.0335 0.7500 0.8688
O 0.0814 0.2500 0.4943
O 0.1682 0.5416 0.3651
O 0.1682 0.9584 0.3651
O 0.2002 0.5363 0.6173
O 0.2002 0.9637 0.6173
O 0.2998 0.0363 0.1173
O 0.2998 0.4637 0.1173
O 0.3318 0.0416 0.8651
O 0.3318 0.4584 0.8651
O 0.4186 0.7500 0.9943
O 0.4665 0.2500 0.3688
O 0.4807 0.2500 0.6322
O 0.5193 0.7500 0.3678
O 0.5335 0.7500 0.6312
O 0.5814 0.2500 0.0057
O 0.6682 0.5416 0.1349
O 0.6682 0.9584 0.1349
O 0.7002 0.5363 0.8827
O 0.7002 0.9637 0.8827
O 0.7998 0.0363 0.3827
O 0.7998 0.4637 0.3827
O 0.8318 0.0416 0.6349
O 0.8318 0.4584 0.6349
O 0.9186 0.7500 0.5057
O 0.9665 0.2500 0.1312
O 0.9807 0.2500 0.8678

Main lines, low angle first (2θ from 10° to 90°):
Position (°2θ)  intensity
28.57  100
28.83  81
31.19  16
32.65  20
33.56  39
47.53  42
47.86  18
56.84  28

[2]
Ba2CaCuAg2F14: calculated XRD peak list (Cu Kα (weighted mean of Kα1 and Kα2)), based on a cell relaxed with PBE.
Peak positions follow from Bragg's law for the DFT cell and can differ from measured ones.

Cell and atoms:
Cell: 7.6301 7.6301 15.3721 Å, 91.18 91.18 42.89°
Element x y z (fractional)
Ba 0.0757 0.9243 0.5000
Ba 0.5392 0.6965 0.2499
Ba 0.6965 0.5392 0.7499
Ba 0.9243 0.0757 0.0000
Ca 0.2265 0.3938 0.1258
Ca 0.3938 0.2265 0.6258
Cu 0.3044 0.3085 0.3753
Cu 0.3085 0.3044 0.8753
Ag 0.6613 0.7178 0.9997
Ag 0.7178 0.6613 0.4997
Ag 0.9004 0.9594 0.2506
Ag 0.9594 0.9004 0.7506
F 0.1190 0.6537 0.8638
F 0.1736 0.9660 0.7813
F 0.1832 0.7652 0.1462
F 0.1960 0.3284 0.7617
F 0.2199 0.6770 0.3358
F 0.2470 0.6190 0.6563
F 0.2866 0.4218 0.4881
F 0.3284 0.1960 0.2617
F 0.3764 0.9989 0.0951
F 0.3959 0.9434 0.4147
F 0.4218 0.2866 0.9881
F 0.4352 0.8551 0.6016
F 0.4489 0.6462 0.9700
F 0.5055 0.9500 0.8830
F 0.6190 0.2470 0.1563
F 0.6462 0.4489 0.4700
F 0.6537 0.1190 0.3638
F 0.6770 0.2199 0.8358
F 0.7077 0.8737 0.7161
F 0.7428 0.9119 0.5341
F 0.7652 0.1832 0.6462
F 0.8551 0.4352 0.1016
F 0.8737 0.7077 0.2161
F 0.9119 0.7428 0.0341
F 0.9434 0.3959 0.9147
F 0.9500 0.5055 0.3830
F 0.9660 0.1736 0.2813
F 0.9989 0.3764 0.5951

Main lines, low angle first (2θ from 10° to 90°):
Position (°2θ)  intensity
23.15  36
24.67  100
27.12  37
27.47  26
28.79  49
29.02  33
39.94  26
40.11  26

[3]
HoLuZn2: calculated XRD peak list (Cu Kα (weighted mean of Kα1 and Kα2)), based on a cell relaxed with PBE.
Peak positions follow from Bragg's law for the DFT cell and can differ from measured ones.

Cell and atoms:
Cell: 4.9841 4.9841 4.9841 Å, 60.00 60.00 60.00°
Element x y z (fractional)
Ho 0.0000 0.0000 0.0000
Lu 0.5000 0.5000 0.5000
Zn 0.2500 0.2500 0.2500
Zn 0.7500 0.7500 0.7500

Main lines, low angle first (2θ from 10° to 90°):
Position (°2θ)  intensity
25.27  20
36.04  100
44.53  6
51.89  18
58.57  8
64.80  36
76.44  11
87.53  16

[4]
AgSe3I: calculated XRD peak list (Cu Kα (weighted mean of Kα1 and Kα2)), based on a cell relaxed with PBE.
Peak positions follow from Bragg's law for the DFT cell and can differ from measured ones.

Cell and atoms:
Cell: 15.0501 5.1016 8.2513 Å, 90.00 90.00 90.00°
Element x y z (fractional)
Ag 0.2500 0.1977 0.2500
Ag 0.2500 0.8023 0.7500
Ag 0.7500 0.1977 0.2500
Ag 0.7500 0.8023 0.7500
Se 0.0000 0.1008 0.2390
Se 0.0000 0.8992 0.7610
Se 0.1211 0.1143 0.6302
Se 0.1211 0.8857 0.3698
Se 0.3789 0.1143 0.8698
Se 0.3789 0.8857 0.1302
Se 0.5000 0.1008 0.2610
Se 0.5000 0.8992 0.7390
Se 0.6211 0.1143 0.8698
Se 0.6211 0.8857 0.1302
Se 0.8789 0.1143 0.6302
Se 0.8789 0.8857 0.3698
I 0.1658 0.5000 0.0000
I 0.3342 0.5000 0.5000
I 0.6658 0.5000 0.5000
I 0.8342 0.5000 0.0000

Main lines, low angle first (2θ from 10° to 90°):
Position (°2θ)  intensity
11.76  35
21.31  71
27.17  93
27.81  71
31.47  100
32.20  54
37.29  33
44.28  48